Diffraction record for LiCoBO3. The X-ray diffraction stick pattern is calculated, not measured: it uses the PBE+U geometry in Alexandria and Cu Kα, 1.54184 Å.
Intensities are scaled so that the largest is 100.

Most intense lines, 2θ = 10–90°, by angle:
d/Å	2θ/deg	Rel. int.
6.500	13.62	100
4.591	19.33	98
4.114	21.60	75
3.250	27.45	66
2.904	30.79	60
2.798	31.99	28
2.555	35.12	27
2.517	35.66	34
2.232	40.41	23
1.766	51.77	25

Cell and atoms:
abc: 3.1277 9.1798 9.2070
angles: 90.00 88.52 89.92
Atoms (fractional coordinates):
Li: 0.2383 0.3592 0.3127
Li: 0.2387 0.1409 0.8127
Li: 0.7613 0.8591 0.1873
Li: 0.7617 0.6408 0.6873
Co: 0.2746 0.6946 0.9387
Co: 0.2745 0.8054 0.4387
Co: 0.7255 0.1946 0.5613
Co: 0.7254 0.3054 0.0613
B: 0.2461 0.0978 0.2816
B: 0.2461 0.4022 0.7816
B: 0.7539 0.5978 0.2184
B: 0.7539 0.9022 0.7184
O: 0.2330 0.1668 0.4184
O: 0.2328 0.3332 0.9184
O: 0.2504 0.3126 0.6607
O: 0.2514 0.1874 0.1607
O: 0.2520 0.9489 0.2686
O: 0.2533 0.5511 0.7686
O: 0.7467 0.4489 0.2314
O: 0.7480 0.0511 0.7314
O: 0.7486 0.8126 0.8393
O: 0.7496 0.6874 0.3393
O: 0.7672 0.6668 0.0816
O: 0.7670 0.8332 0.5816